Structure and computed XRD peak list of ThPO5 (DFT lattice parameters and positions (PBE); a wavelength of 1.5418 Å).
Kinematic intensities with the Lorentz-polarization factor, no thermal factor.

Top 6 peaks for 10° ≤ 2θ ≤ 80°, in order of rising 2θ:
(hkl)	two_theta	d [Å]	I/Imax
0 0 2	13.73	6.452	57
0 2 0	18.69	4.749	49
1 1 2	20.72	4.287	100
2 0 0	24.75	3.598	64
1 1 4	31.83	2.812	60
1 3 2	33.91	2.643	32

Structure:
```
data_ThPO5
_chemical_formula_sum 'Th8 P8 O40'
_space_group_name_H-M_alt 'C m c e'
_space_group_IT_number 64
_space_group_name_Hall '-C 2ac 2'
_cell_length_a 7.1958
_cell_length_b 9.4972
_cell_length_c 12.9038
_cell_angle_alpha 90.00
_cell_angle_beta 90.00
_cell_angle_gamma 90.00
loop_
_atom_site_label
_atom_site_fract_x
_atom_site_fract_y
_atom_site_fract_z
_atom_site_occupancy
Th1 0.0000 0.2105 0.0757 1
P1 0.0000 0.1039 0.3617 1
O1 0.0000 0.0353 0.9476 1
O2 0.0000 0.0569 0.6309 1
O3 0.0000 0.1523 0.2483 1
O4 0.1690 0.1692 0.4220 1
```